For NaAc8Ir4, a GGA-PBE-relaxed structure gives the theoretical XRD peak list in this record (λ = 1.5418 Å (Cu Kα)).
Neutral-atom scattering factors, no anomalous dispersion.

Peak list (10 most intense, 2θ from 10° to 80°, by intensity)
Position (°2θ), intensity, hkl
26.65, 100, 3 0 1
43.18, 62, 5 4 1
11.64, 50, 2 0 0
31.50, 39, 1 4 1
37.73, 29, 2 5 1
35.42, 28, 6 0 0
29.97, 26, 1 5 0
40.52, 22, 0 0 2
26.21, 17, 2 4 0
54.90, 17, 6 0 2

Structure:
```
data_NaAc8Ir4
_chemical_formula_sum 'Na2 Ac16 Ir8'
_space_group_name_H-M_alt 'I 4/m'
_space_group_IT_number 87
_space_group_name_Hall '-I 4'
_cell_length_a 15.204
_cell_length_b 15.204
_cell_length_c 4.452
_cell_angle_alpha 90.00
_cell_angle_beta 90.00
_cell_angle_gamma 90.00
loop_
_atom_site_label
_atom_site_type_symbol
_atom_site_fract_x
_atom_site_fract_y
_atom_site_fract_z
Na1 Na 0.000 0.000 0.000
Ac1 Ac 0.043 0.661 0.000
Ac2 Ac 0.152 0.194 0.500
Ir1 Ir 0.152 0.326 0.000
```